Computed powder XRD pattern of La5PrNd3 for CuKα, from a crystal structure in Alexandria, relaxed with GGA-PBE.
Kinematic intensities with the Lorentz-polarization factor, no thermal factor.

Atomic structure:
Unit cell a=10.978 b=10.978 c=11.841 alpha=120.92 beta=120.92 gamma=34.00
Positions (direct):
1 La 0.046 0.671 0.344
2 La 0.087 0.913 0.750
3 La 0.124 0.519 0.662
4 La 0.329 0.954 0.156
5 La 0.481 0.876 0.838
6 La 0.519 0.124 0.162
7 La 0.671 0.046 0.844
8 La 0.876 0.481 0.338
9 La 0.913 0.087 0.250
10 La 0.954 0.329 0.656
11 Pr 0.389 0.611 0.250
12 Pr 0.611 0.389 0.750
13 Nd 0.082 0.565 0.976
14 Nd 0.435 0.918 0.524
15 Nd 0.500 0.500 0.000
16 Nd 0.500 0.500 0.500
17 Nd 0.565 0.082 0.476
18 Nd 0.918 0.435 0.024

Principal peaks in the range 5° ≤ 2θ ≤ 70°, in order of rising 2θ:
2theta	I/Imax
25.74	26
28.14	69
28.66	93
29.31	34
29.60	56
30.28	100
32.20	36
32.76	26
33.02	65
33.92	32
34.51	48
58.25	25

***

Computed powder XRD pattern of Cs2BiCBr6 for CuKα, from a crystal structure in Alexandria, relaxed with GGA-PBE.
Kinematic intensities with the Lorentz-polarization factor, no thermal factor.

Atomic structure:
Unit cell a=8.299 b=8.299 c=8.299 alpha=125.83 beta=125.83 gamma=80.17
Positions (direct):
1 Cs 0.250 0.750 0.500
2 Cs 0.750 0.250 0.500
3 Bi 0.000 0.000 0.000
4 C 0.500 0.500 0.000
5 Br 0.225 0.225 0.000
6 Br 0.270 0.270 0.540
7 Br 0.270 0.730 0.000
8 Br 0.730 0.270 0.000
9 Br 0.730 0.730 0.460
10 Br 0.775 0.775 0.000

Principal peaks in the range 5° ≤ 2θ ≤ 70°, in order of rising 2θ:
2theta	I/Imax
13.63	55
21.74	68
23.54	28
27.31	50
27.47	100
28.10	77
33.54	98
40.32	24
44.31	84
44.63	25
48.16	33
56.69	38

***

Computed powder XRD pattern of Rb2Tl12Pb for CuKα, from a crystal structure in Alexandria, relaxed with GGA-PBE.
Kinematic intensities with the Lorentz-polarization factor, no thermal factor.

Atomic structure:
Unit cell a=7.246 b=7.246 c=20.697 alpha=90.00 beta=90.00 gamma=90.00
Positions (direct):
1 Rb 0.250 0.750 0.242
2 Rb 0.250 0.750 0.758
3 Rb 0.750 0.250 0.242
4 Rb 0.750 0.250 0.758
5 Tl 0.000 0.000 0.404
6 Tl 0.000 0.000 0.596
7 Tl 0.000 0.500 0.404
8 Tl 0.000 0.500 0.596
9 Tl 0.086 0.586 0.064
10 Tl 0.086 0.914 0.936
11 Tl 0.250 0.250 0.154
12 Tl 0.250 0.250 0.309
13 Tl 0.250 0.250 0.691
14 Tl 0.250 0.250 0.846
15 Tl 0.414 0.586 0.936
16 Tl 0.414 0.914 0.064
17 Tl 0.500 0.000 0.404
18 Tl 0.500 0.000 0.596
19 Tl 0.500 0.500 0.404
20 Tl 0.500 0.500 0.596
21 Tl 0.586 0.086 0.936
22 Tl 0.586 0.414 0.064
23 Tl 0.750 0.750 0.154
24 Tl 0.750 0.750 0.309
25 Tl 0.750 0.750 0.691
26 Tl 0.750 0.750 0.846
27 Tl 0.914 0.086 0.064
28 Tl 0.914 0.414 0.936
29 Pb 0.250 0.750 0.500
30 Pb 0.750 0.250 0.500

Principal peaks in the range 5° ≤ 2θ ≤ 70°, in order of rising 2θ:
2theta	I/Imax
8.54	34
19.33	48
24.45	29
26.06	57
27.83	24
30.11	23
30.48	27
32.60	26
32.85	44
35.03	100
35.95	73
61.45	23

***

Computed powder XRD pattern of Ti3AlRh for CuKα, from a crystal structure in Alexandria, relaxed with GGA-PBE.
Kinematic intensities with the Lorentz-polarization factor, no thermal factor.

Atomic structure:
Unit cell a=4.613 b=5.622 c=6.667 alpha=90.00 beta=109.62 gamma=90.00
Positions (direct):
1 Ti 0.080 0.250 0.195
2 Ti 0.312 0.002 0.622
3 Ti 0.312 0.498 0.622
4 Ti 0.688 0.502 0.378
5 Ti 0.688 0.998 0.378
6 Ti 0.920 0.750 0.805
7 Al 0.131 0.750 0.245
8 Al 0.869 0.250 0.755
9 Rh 0.448 0.250 0.987
10 Rh 0.552 0.750 0.013

Principal peaks in the range 5° ≤ 2θ ≤ 70°, in order of rising 2θ:
2theta	I/Imax
14.10	34
20.44	31
20.58	35
34.97	100
39.05	66
40.72	55
41.10	60
43.35	65
43.57	73
53.29	25
53.54	23
68.45	20

***

Computed powder XRD pattern of NaScTl2I6 for CuKα, from a crystal structure in Alexandria, relaxed with GGA-PBE.
Kinematic intensities with the Lorentz-polarization factor, no thermal factor.

Atomic structure:
Unit cell a=8.465 b=8.465 c=8.465 alpha=59.19 beta=59.19 gamma=59.19
Positions (direct):
1 Na 0.000 0.000 0.000
2 Sc 0.495 0.495 0.495
3 Tl 0.285 0.285 0.285
4 Tl 0.793 0.793 0.793
5 I 0.163 0.717 0.355
6 I 0.258 0.641 0.820
7 I 0.355 0.163 0.717
8 I 0.641 0.820 0.258
9 I 0.717 0.355 0.163
10 I 0.820 0.258 0.641

Principal peaks in the range 5° ≤ 2θ ≤ 70°, in order of rising 2θ:
2theta	I/Imax
14.89	38
20.99	39
24.85	100
25.62	31
26.05	93
30.05	70
33.01	23
33.52	64
37.10	28
37.25	42
44.70	22
45.37	23

***

Computed powder XRD pattern of AgSn5Te7 for CuKα, from a crystal structure in Alexandria, relaxed with GGA-PBE.
Kinematic intensities with the Lorentz-polarization factor, no thermal factor.

Atomic structure:
Unit cell a=7.602 b=7.602 c=25.655 alpha=90.92 beta=90.92 gamma=34.09
Positions (direct):
1 Ag 0.160 0.160 0.282
2 Ag 0.840 0.840 0.718
3 Sn 0.000 0.000 0.000
4 Sn 0.000 0.000 0.500
5 Sn 0.281 0.281 0.577
6 Sn 0.282 0.282 0.923
7 Sn 0.439 0.439 0.345
8 Sn 0.440 0.440 0.152
9 Sn 0.560 0.560 0.848
10 Sn 0.561 0.561 0.655
11 Sn 0.718 0.718 0.077
12 Sn 0.719 0.719 0.423
13 Te 0.084 0.084 0.389
14 Te 0.091 0.091 0.112
15 Te 0.189 0.189 0.816
16 Te 0.198 0.198 0.689
17 Te 0.360 0.360 0.465
18 Te 0.361 0.361 0.035
19 Te 0.449 0.449 0.751
20 Te 0.551 0.551 0.249
21 Te 0.639 0.639 0.965
22 Te 0.640 0.640 0.535
23 Te 0.802 0.802 0.311
24 Te 0.811 0.811 0.184
25 Te 0.909 0.909 0.888
26 Te 0.916 0.916 0.611

Principal peaks in the range 5° ≤ 2θ ≤ 70°, in order of rising 2θ:
2theta	I/Imax
27.07	53
27.42	100
28.00	69
28.16	75
29.05	35
29.27	46
30.28	32
38.07	28
40.48	61
40.80	30
40.97	35
41.17	32

***

Computed powder XRD pattern of TbGa7Ni2 for CuKα, from a crystal structure in Alexandria, relaxed with GGA-PBE.
Kinematic intensities with the Lorentz-polarization factor, no thermal factor.

Atomic structure:
Unit cell a=7.573 b=7.573 c=4.045 alpha=90.00 beta=90.00 gamma=118.79
Positions (direct):
1 Tb 0.000 0.000 0.000
2 Ga 0.049 0.340 0.500
3 Ga 0.233 0.767 0.000
4 Ga 0.340 0.049 0.500
5 Ga 0.500 0.500 0.500
6 Ga 0.660 0.951 0.500
7 Ga 0.767 0.233 0.000
8 Ga 0.951 0.660 0.500
9 Ni 0.322 0.678 0.500
10 Ni 0.678 0.322 0.500

Principal peaks in the range 5° ≤ 2θ ≤ 70°, in order of rising 2θ:
2theta	I/Imax
13.34	40
23.07	45
25.79	100
32.07	51
35.37	95
36.09	99
40.79	40
42.23	95
42.90	76
44.81	61
55.07	27
58.83	47

***

Computed powder XRD pattern of Pm2SeBrF2 for CuKα, from a crystal structure in Alexandria, relaxed with GGA-PBE.
Kinematic intensities with the Lorentz-polarization factor, no thermal factor.

Atomic structure:
Unit cell a=4.110 b=4.110 c=8.522 alpha=90.00 beta=90.00 gamma=120.00
Positions (direct):
1 Pm 0.333 0.667 0.218
2 Pm 0.667 0.333 0.782
3 Se 0.000 0.000 0.000
4 Br 0.000 0.000 0.500
5 F 0.333 0.667 0.742
6 F 0.667 0.333 0.258

Principal peaks in the range 5° ≤ 2θ ≤ 70°, in order of rising 2θ:
2theta	I/Imax
10.38	6
20.85	10
27.15	68
32.78	100
40.63	19
42.43	12
44.06	48
49.22	6
49.89	10
52.52	12
55.99	21
62.82	21